(1)
Diffraction record for K6MgBi2O8. The XRD peak list is calculated, not measured: it uses the PBE geometry in the Materials Project and Cu Kα (weighted mean of Kα1 and Kα2).
Intensities are scaled so that the largest is 100.

Structural model:
Unit cell a=6.512 b=6.917 c=7.940 alpha=96.19 beta=95.15 gamma=104.53
Space group P1 (No. 1)
Symmetry-distinct sites (fractional):
K 0.000 0.000 0.000 (multiplicity 1)
K 0.050 0.076 0.433 (multiplicity 1)
K 0.252 0.324 0.802 (multiplicity 1)
K 0.524 0.014 0.096 (multiplicity 1)
K 0.675 0.413 0.423 (multiplicity 1)
K 0.744 0.431 0.916 (multiplicity 1)
Mg 0.161 0.730 0.736 (multiplicity 1)
Bi 0.208 0.535 0.215 (multiplicity 1)
Bi 0.612 0.868 0.618 (multiplicity 1)
O 0.168 0.662 0.975 (multiplicity 1)
O 0.355 0.595 0.604 (multiplicity 1)
O 0.369 0.994 0.723 (multiplicity 1)
O 0.371 0.323 0.135 (multiplicity 1)
O 0.633 0.863 0.362 (multiplicity 1)
O 0.841 0.141 0.711 (multiplicity 1)
O 0.846 0.713 0.694 (multiplicity 1)
O 0.917 0.305 0.194 (multiplicity 1)

Top 6 peaks for 2θ = 10–90°, by angle:
h k l, 2theta, I_rel
0 1 -1, 16.30, 100
1 -1 0, 16.72, 96
1 0 -1, 17.03, 86
1 -1 2, 28.28, 82
1 -2 1, 28.45, 67
1 1 -2, 29.04, 49

=====

(2)
Diffraction record for LaSiPd. The XRD peak list is calculated, not measured: it uses the PBE geometry in the Materials Project and Cu Kα (weighted mean of Kα1 and Kα2).
Intensities are scaled so that the largest is 100.

Structural model:
Unit cell a=10.997 b=5.975 c=7.982 alpha=90.00 beta=92.10 gamma=90.00
Space group P2_1/c (No. 14)
Symmetry-distinct sites (fractional):
La 0.130 0.131 0.326 (multiplicity 4)
La 0.359 0.638 0.466 (multiplicity 4)
Si 0.077 0.632 0.466 (multiplicity 4)
Si 0.357 0.144 0.625 (multiplicity 4)
Pd 0.169 0.607 0.178 (multiplicity 4)
Pd 0.448 0.098 0.338 (multiplicity 4)

Top 6 peaks for 2θ = 10–90°, by angle:
h k l, 2theta, I_rel
3 1 -1, 30.41, 77
0 2 1, 31.99, 100
3 0 2, 33.83, 84
3 1 -2, 35.97, 80
0 1 3, 37.01, 84
3 2 1, 40.84, 83

=====

(3)
Diffraction record for ThAl10Fe2. The XRD peak list is calculated, not measured: it uses the PBE geometry in the Materials Project and Cu Kα (weighted mean of Kα1 and Kα2).
Intensities are scaled so that the largest is 100.

Structural model:
Unit cell a=8.963 b=10.240 c=9.020 alpha=90.00 beta=90.00 gamma=90.00
Space group Cmcm (No. 63)
Symmetry-distinct sites (fractional):
Th 0.000 0.125 0.250 (multiplicity 4)
Al 0.000 0.161 0.599 (multiplicity 8)
Al 0.000 0.377 0.050 (multiplicity 8)
Al 0.148 0.371 0.750 (multiplicity 8)
Al 0.227 0.362 0.250 (multiplicity 8)
Al 0.229 0.000 0.000 (multiplicity 8)
Fe 0.250 0.250 0.000 (multiplicity 8)

Top 6 peaks for 2θ = 10–90°, by angle:
h k l, 2theta, I_rel
1 1 0, 13.13, 63
1 1 1, 16.41, 75
2 0 2, 28.05, 63
2 2 1, 28.25, 64
2 2 3, 40.17, 85
0 4 2, 40.55, 100

=====

(4)
Diffraction record for LaAlSi2. The XRD peak list is calculated, not measured: it uses the PBE geometry in the Materials Project and Cu Kα (weighted mean of Kα1 and Kα2).
Intensities are scaled so that the largest is 100.

Structural model:
Unit cell a=4.1831 b=4.1831 c=11.4607 alpha=90.00 beta=90.00 gamma=120.00
Space group P-3m1 (No. 164)
Symmetry-distinct sites (fractional):
La 0.0000 0.0000 0.1827 (multiplicity 2)
Al 0.3333 0.6667 0.5820 (multiplicity 2)
Si 0.3333 0.6667 0.3572 (multiplicity 2)
Si 0.3333 0.6667 0.9941 (multiplicity 2)

Top 6 peaks for 2θ = 10–90°, by angle:
h k l, 2theta, I_rel
1 0 0, 24.57, 40
0 1 1, 25.79, 33
0 1 2, 29.16, 72
0 1 3, 34.11, 100
1 1 0, 43.26, 50
1 1 5, 59.86, 24

=====

(5)
Diffraction record for KCdN. The XRD peak list is calculated, not measured: it uses the PBE geometry in the Materials Project and Cu Kα (weighted mean of Kα1 and Kα2).
Intensities are scaled so that the largest is 100.

Structural model:
Unit cell a=6.192 b=6.857 c=7.064 alpha=90.00 beta=90.00 gamma=90.00
Space group Cmc2_1 (No. 36)
Symmetry-distinct sites (fractional):
K 0.000 0.048 0.000 (multiplicity 4)
Cd 0.000 0.500 0.251 (multiplicity 4)
N 0.000 0.344 0.501 (multiplicity 4)

Top 6 peaks for 2θ = 10–90°, by angle:
h k l, 2theta, I_rel
1 1 0, 19.32, 56
0 2 0, 25.99, 41
2 0 0, 28.84, 45
1 1 2, 31.96, 100
2 2 0, 39.21, 27
1 3 2, 49.75, 29

=====

(6)
Diffraction record for Ho2Ge6Pt. The XRD peak list is calculated, not measured: it uses the PBE geometry in the Materials Project and Cu Kα (weighted mean of Kα1 and Kα2).
Intensities are scaled so that the largest is 100.

Structural model:
Unit cell a=4.093 b=4.072 c=21.999 alpha=90.00 beta=90.00 gamma=90.00
Space group Amm2 (No. 38)
Symmetry-distinct sites (fractional):
Ho 0.000 0.000 0.000 (multiplicity 2)
Ho 0.000 0.000 0.339 (multiplicity 2)
Ge 0.000 0.000 0.624 (multiplicity 2)
Ge 0.000 0.000 0.738 (multiplicity 2)
Ge 0.500 0.000 0.125 (multiplicity 2)
Ge 0.500 0.000 0.239 (multiplicity 2)
Ge 0.500 0.000 0.447 (multiplicity 2)
Ge 0.500 0.000 0.877 (multiplicity 2)
Pt 0.500 0.000 0.557 (multiplicity 2)

Top 6 peaks for 2θ = 10–90°, by angle:
h k l, 2theta, I_rel
1 0 6, 32.79, 26
1 1 3, 33.36, 100
1 1 7, 42.52, 20
0 1 9, 43.17, 22
2 0 0, 44.26, 23
0 2 0, 44.50, 23

=====

(7)
Diffraction record for BeBiO3. The XRD peak list is calculated, not measured: it uses the PBE geometry in the Materials Project and Cu Kα (weighted mean of Kα1 and Kα2).
Intensities are scaled so that the largest is 100.

Structural model:
Unit cell a=3.674 b=3.674 c=3.674 alpha=90.00 beta=90.00 gamma=90.00
Space group Pm-3m (No. 221)
Symmetry-distinct sites (fractional):
Be 0.000 0.000 0.000 (multiplicity 1)
Bi 0.500 0.500 0.500 (multiplicity 1)
O 0.000 0.000 0.500 (multiplicity 3)

Top 6 peaks for 2θ = 10–90°, by angle:
h k l, 2theta, I_rel
1 0 0, 24.23, 100
1 1 0, 34.53, 97
1 1 1, 42.63, 58
2 0 0, 49.63, 30
2 1 0, 55.97, 46
2 1 1, 61.86, 39

=====

(8)
Diffraction record for NbCr3Ag2S8. The XRD peak list is calculated, not measured: it uses the PBE geometry in the Materials Project and Cu Kα (weighted mean of Kα1 and Kα2).
Intensities are scaled so that the largest is 100.

Structural model:
Unit cell a=7.279 b=12.340 c=11.720 alpha=90.00 beta=96.24 gamma=90.00
Space group P2_1 (No. 4)
Symmetry-distinct sites (fractional):
Nb 0.024 0.000 0.408 (multiplicity 2)
Nb 0.462 0.675 0.909 (multiplicity 2)
Cr 0.088 0.902 0.668 (multiplicity 2)
Cr 0.165 0.395 0.841 (multiplicity 2)
Cr 0.166 0.522 0.121 (multiplicity 2)
Cr 0.327 0.152 0.629 (multiplicity 2)
Cr 0.330 0.879 0.142 (multiplicity 2)
Cr 0.413 0.379 0.355 (multiplicity 2)
Ag 0.080 0.171 0.114 (multiplicity 2)
Ag 0.216 0.696 0.415 (multiplicity 2)
Ag 0.356 0.041 0.876 (multiplicity 2)
Ag 0.384 0.552 0.607 (multiplicity 2)
S 0.053 0.964 0.037 (multiplicity 2)
S 0.068 0.178 0.482 (multiplicity 2)
S 0.072 0.071 0.746 (multiplicity 2)
S 0.117 0.851 0.280 (multiplicity 2)
S 0.142 0.571 0.759 (multiplicity 2)
S 0.147 0.351 0.219 (multiplicity 2)
S 0.167 0.417 0.474 (multiplicity 2)
S 0.231 0.708 0.041 (multiplicity 2)
S 0.289 0.233 0.968 (multiplicity 2)
S 0.309 0.969 0.544 (multiplicity 2)
S 0.369 0.819 0.773 (multiplicity 2)
S 0.380 0.058 0.216 (multiplicity 2)
S 0.390 0.562 0.282 (multiplicity 2)
S 0.391 0.480 0.978 (multiplicity 2)
S 0.392 0.325 0.730 (multiplicity 2)
S 0.478 0.222 0.473 (multiplicity 2)

Top 6 peaks for 2θ = 10–90°, by angle:
h k l, 2theta, I_rel
0 2 0, 14.35, 29
0 3 2, 26.53, 100
2 1 -3, 32.76, 40
0 4 2, 32.85, 36
2 1 3, 36.47, 41
2 2 3, 38.67, 36

=====

(9)
Diffraction record for Dy2Hf2O7. The XRD peak list is calculated, not measured: it uses the PBE geometry in the Materials Project and Cu Kα (weighted mean of Kα1 and Kα2).
Intensities are scaled so that the largest is 100.

Structural model:
Unit cell a=10.506 b=10.506 c=10.506 alpha=90.00 beta=90.00 gamma=90.00
Space group Fd-3m (No. 227, origin choice 2)
Symmetry-distinct sites (fractional):
Dy 0.000 0.000 0.000 (multiplicity 16)
Hf 0.000 0.000 0.500 (multiplicity 16)
O 0.088 0.375 0.875 (multiplicity 48)
O 0.125 0.125 0.125 (multiplicity 8)

Top 6 peaks for 2θ = 10–90°, by angle:
h k l, 2theta, I_rel
2 2 2, 29.45, 100
4 0 0, 34.14, 36
4 4 0, 49.05, 46
6 2 2, 58.26, 44
6 6 2, 79.54, 18
8 4 0, 82.04, 15